No. 1
Computed powder diffraction line list
Compound: Pm2Y2ErMg5
Radiation: Cu Kα (λ = 1.5418 Å)
Structure: DFT lattice parameters and positions (GGA-PBE)
Peak positions follow from Bragg's law for the DFT cell and can differ from measured ones.

Most intense lines, 2θ from 15° to 90°, in order of rising 2θ:
| two_theta | I (rel.) |
| --- | --- |
| 17.5 | 73 |
| 23.6 | 17 |
| 26.5 | 42 |
| 29.6 | 28 |
| 31.9 | 100 |
| 34.8 | 23 |
| 35.2 | 22 |
| 35.5 | 29 |
| 39.2 | 12 |
| 44.8 | 20 |
| 50.5 | 16 |
| 61.5 | 21 |

Atomic structure:
```
20
Lattice="10.6430 0.0000 0.0000 0.0000 10.6430 0.0000 0.0000 0.0000 5.0597" Properties=species:S:1:pos:R:3 pbc="T T T"
Pm 1.8825 3.4390 0.0000
Pm 3.4390 8.7605 0.0000
Pm 7.2040 1.8825 0.0000
Pm 8.7605 7.2040 0.0000
Y 1.2863 6.6078 0.0000
Y 4.0352 1.2863 0.0000
Y 6.6078 9.3567 0.0000
Y 9.3567 4.0352 0.0000
Er 0.0000 0.0000 0.0000
Er 5.3215 5.3215 0.0000
Mg 0.0000 5.3215 2.5298
Mg 0.7369 8.5564 2.5298
Mg 2.0866 0.7369 2.5298
Mg 3.2349 6.0584 2.5298
Mg 4.5846 3.2349 2.5298
Mg 5.3215 0.0000 2.5298
Mg 6.0584 7.4081 2.5298
Mg 7.4081 4.5846 2.5298
Mg 8.5564 9.9061 2.5298
Mg 9.9061 2.0866 2.5298
```

No. 2
Computed powder diffraction line list
Compound: Ba2MgIn3Au12
Radiation: Cu Kα (λ = 1.5418 Å)
Structure: DFT lattice parameters and positions (GGA-PBE)
Peak positions follow from Bragg's law for the DFT cell and can differ from measured ones.

Most intense lines, 2θ from 15° to 90°, in order of rising 2θ:
| two_theta | I (rel.) |
| --- | --- |
| 19.9 | 43 |
| 23.2 | 24 |
| 23.5 | 28 |
| 28.2 | 100 |
| 36.8 | 45 |
| 37.1 | 70 |
| 40.1 | 69 |
| 40.5 | 47 |
| 42.1 | 28 |
| 42.4 | 44 |
| 45.5 | 23 |
| 46.9 | 24 |

Atomic structure:
```
18
Lattice="4.4931 2.5941 7.2363 -4.4931 2.5941 7.2363 0.0000 -5.1881 7.2363" Properties=species:S:1:pos:R:3 pbc="T T T"
Ba 0.0000 0.0000 2.2957
Ba 0.0000 0.0000 19.4133
Mg 0.0000 0.0000 10.8545
In -2.2465 -1.2970 7.2363
In -2.2465 1.2970 14.4726
In 0.0000 2.5941 7.2363
Au 0.0000 -1.8759 5.7166
Au -1.6246 0.9379 5.7166
Au -2.1749 -1.2556 10.1828
Au 0.0000 -2.5113 11.5261
Au -2.1749 1.2557 11.5261
Au -1.6246 -0.9379 15.9923
Au 1.6246 0.9379 5.7166
Au 2.1749 -1.2557 10.1828
Au 0.0000 2.5113 10.1828
Au 2.1749 1.2557 11.5261
Au 1.6246 -0.9379 15.9923
Au 0.0000 1.8759 15.9923
```

No. 3
Computed powder diffraction line list
Compound: ZnHg3
Radiation: Cu Kα (λ = 1.5418 Å)
Structure: DFT lattice parameters and positions (GGA-PBE)
Peak positions follow from Bragg's law for the DFT cell and can differ from measured ones.

Most intense lines, 2θ from 15° to 90°, in order of rising 2θ:
| two_theta | I (rel.) |
| --- | --- |
| 21.6 | 16 |
| 30.7 | 16 |
| 34.4 | 100 |
| 37.8 | 36 |
| 49.4 | 4 |
| 54.5 | 16 |
| 56.9 | 24 |
| 59.3 | 19 |
| 63.8 | 12 |
| 72.5 | 5 |
| 74.6 | 22 |
| 76.6 | 5 |

Atomic structure:
```
8
Lattice="5.8316 0.0000 0.0000 0.0000 5.8316 0.0000 0.0000 0.0000 5.8316" Properties=species:S:1:pos:R:3 pbc="T T T"
Zn 0.0000 0.0000 0.0000
Zn 2.9158 2.9158 2.9158
Hg 0.0000 1.4579 2.9158
Hg 0.0000 4.3737 2.9158
Hg 1.4579 2.9158 0.0000
Hg 2.9158 0.0000 1.4579
Hg 2.9158 0.0000 4.3737
Hg 4.3737 2.9158 0.0000
```